Record 1
Structure and simulated X-ray diffraction stick pattern of Pd14PtPb (a GGA-PBE-relaxed structure; Cu Kα (λ = 1.5418 Å)).

Principal peaks in the range 15° ≤ 2θ ≤ 90°, sorted by position:
2theta, d (Å), I_rel
38.01, 2.367, 53
38.38, 2.345, 28
38.97, 2.311, 55
41.74, 2.164, 100
42.08, 2.147, 45
47.42, 1.917, 28

Structure:
abc: 9.244 5.619 5.619
angles: 60.67 90.00 90.00
Atoms (fractional coordinates):
Pd (0.000, 0.000, 0.000)
Pd (0.000, 0.000, 0.499)
Pd (0.000, 0.499, 0.000)
Pd (0.000, 0.499, 0.499)
Pd (0.245, 0.668, 0.668)
Pd (0.247, 0.171, 0.667)
Pd (0.247, 0.667, 0.171)
Pd (0.249, 0.169, 0.169)
Pd (0.500, 0.337, 0.836)
Pd (0.500, 0.836, 0.337)
Pd (0.751, 0.169, 0.169)
Pd (0.753, 0.171, 0.667)
Pd (0.753, 0.667, 0.171)
Pd (0.755, 0.668, 0.668)
Pt (0.500, 0.336, 0.336)
Pb (0.500, 0.837, 0.837)

Record 2
Structure and simulated X-ray diffraction stick pattern of InNi6Sn (a GGA-PBE-relaxed structure; Cu Kα (λ = 1.5418 Å)).

Principal peaks in the range 15° ≤ 2θ ≤ 90°, sorted by position:
2theta, d (Å), I_rel
39.02, 2.308, 25
42.71, 2.117, 26
44.71, 2.027, 100
70.69, 1.333, 16
79.61, 1.204, 17
86.24, 1.128, 18

Structure:
abc: 5.331 5.331 4.234
angles: 90.00 90.00 120.00
Atoms (fractional coordinates):
In (0.000, 0.000, 0.000)
Ni (0.017, 0.509, 0.000)
Ni (0.176, 0.351, 0.500)
Ni (0.176, 0.824, 0.500)
Ni (0.491, 0.509, 0.000)
Ni (0.491, 0.983, 0.000)
Ni (0.649, 0.824, 0.500)
Sn (0.667, 0.333, 0.500)

Record 3
Structure and simulated X-ray diffraction stick pattern of Y2FeRu3 (a GGA-PBE-relaxed structure; Cu Kα (λ = 1.5418 Å)).

Principal peaks in the range 15° ≤ 2θ ≤ 90°, sorted by position:
2theta, d (Å), I_rel
34.29, 2.615, 46
39.32, 2.291, 88
39.75, 2.267, 100
40.61, 2.222, 47
41.30, 2.186, 72
69.93, 1.345, 32

Structure:
abc: 5.234 5.234 5.234
angles: 61.86 61.86 61.86
Atoms (fractional coordinates):
Y (0.125, 0.125, 0.125)
Y (0.875, 0.875, 0.875)
Fe (0.500, 0.500, 0.500)
Ru (0.000, 0.500, 0.500)
Ru (0.500, 0.000, 0.500)
Ru (0.500, 0.500, 0.000)

Record 4
Structure and simulated X-ray diffraction stick pattern of SrTl6Rh6 (a GGA-PBE-relaxed structure; Cu Kα (λ = 1.5418 Å)).

Principal peaks in the range 15° ≤ 2θ ≤ 90°, sorted by position:
2theta, d (Å), I_rel
31.24, 2.863, 73
36.93, 2.434, 100
41.27, 2.188, 78
41.38, 2.182, 37
43.29, 2.090, 43
69.41, 1.354, 44

Structure:
abc: 7.351 7.351 7.351
angles: 133.98 102.35 95.25
Atoms (fractional coordinates):
Sr (0.000, 0.000, 0.000)
Tl (0.174, 0.674, 0.500)
Tl (0.335, 0.000, 0.335)
Tl (0.339, 0.339, 0.000)
Tl (0.661, 0.661, 0.000)
Tl (0.665, 0.000, 0.665)
Tl (0.826, 0.326, 0.500)
Rh (0.000, 0.000, 0.500)
Rh (0.000, 0.500, 0.000)
Rh (0.245, 0.500, 0.745)
Rh (0.500, 0.000, 0.000)
Rh (0.500, 0.500, 0.500)
Rh (0.755, 0.500, 0.255)

Record 5
Structure and simulated X-ray diffraction stick pattern of VCuTcSn (a GGA-PBE-relaxed structure; Cu Kα (λ = 1.5418 Å)).

Principal peaks in the range 15° ≤ 2θ ≤ 90°, sorted by position:
2theta, d (Å), I_rel
24.66, 3.611, 13
40.81, 2.211, 100
48.26, 1.886, 7
59.09, 1.563, 16
74.30, 1.277, 33
88.43, 1.106, 11

Structure:
abc: 6.254 6.254 6.254
angles: 90.00 90.00 90.00
Atoms (fractional coordinates):
V (0.000, 0.000, 0.000)
V (0.000, 0.500, 0.500)
V (0.500, 0.000, 0.500)
V (0.500, 0.500, 0.000)
Cu (0.250, 0.250, 0.750)
Cu (0.250, 0.750, 0.250)
Cu (0.750, 0.250, 0.250)
Cu (0.750, 0.750, 0.750)
Tc (0.250, 0.250, 0.250)
Tc (0.250, 0.750, 0.750)
Tc (0.750, 0.250, 0.750)
Tc (0.750, 0.750, 0.250)
Sn (0.000, 0.000, 0.500)
Sn (0.000, 0.500, 0.000)
Sn (0.500, 0.000, 0.000)
Sn (0.500, 0.500, 0.500)

Record 6
Structure and simulated X-ray diffraction stick pattern of NaPa3Se8 (a GGA-PBE-relaxed structure; Cu Kα (λ = 1.5418 Å)).

Principal peaks in the range 15° ≤ 2θ ≤ 90°, sorted by position:
2theta, d (Å), I_rel
25.32, 3.518, 52
28.01, 3.185, 75
32.04, 2.794, 100
42.67, 2.119, 59
42.88, 2.109, 70
45.20, 2.006, 46

Structure:
abc: 8.438 8.438 13.006
angles: 90.00 90.00 120.00
Atoms (fractional coordinates):
Na (0.333, 0.667, 0.000)
Na (0.667, 0.333, 0.500)
Pa (0.167, 0.334, 0.730)
Pa (0.167, 0.833, 0.730)
Pa (0.334, 0.167, 0.230)
Pa (0.666, 0.833, 0.730)
Pa (0.833, 0.167, 0.230)
Pa (0.833, 0.666, 0.230)
Se (0.000, 0.000, 0.345)
Se (0.000, 0.000, 0.845)
Se (0.021, 0.511, 0.839)
Se (0.153, 0.306, 0.119)
Se (0.153, 0.847, 0.119)
Se (0.306, 0.153, 0.619)
Se (0.333, 0.667, 0.613)
Se (0.489, 0.511, 0.839)
Se (0.489, 0.979, 0.839)
Se (0.511, 0.021, 0.339)
Se (0.511, 0.489, 0.339)
Se (0.667, 0.333, 0.113)
Se (0.694, 0.847, 0.119)
Se (0.847, 0.153, 0.619)
Se (0.847, 0.694, 0.619)
Se (0.979, 0.489, 0.339)